For Ac4Tb2Ho, the GGA-PBE geometry in Alexandria gives the simulated XRD peak list in this record (λ = 1.5418 Å (Cu Kα)).
No peak broadening, texture or thermal motion is included.

The 10 most intense peaks (2θ from 10° to 90°), low angle first:
| two_theta | d_spacing | Rel. int. |
| --- | --- | --- |
| 28.65 | 3.115 | 41.4 |
| 28.78 | 3.102 | 100.0 |
| 29.98 | 2.980 | 64.9 |
| 30.34 | 2.946 | 38.5 |
| 30.82 | 2.902 | 30.8 |
| 35.02 | 2.562 | 25.7 |
| 41.59 | 2.171 | 15.0 |
| 48.21 | 1.888 | 23.0 |
| 52.34 | 1.748 | 14.2 |
| 57.68 | 1.598 | 15.3 |

Structural model:
```
Ac4Tb2Ho
1.0
3.364 -6.427 0.000
3.364 6.427 0.000
-3.360 0.000 12.715
Ac Tb Ho
8 4 2
Direct
0.060 0.940 0.500 Ac
0.135 0.486 0.571 Ac
0.375 0.520 0.848 Ac
0.486 0.135 0.071 Ac
0.520 0.375 0.348 Ac
0.521 0.905 0.419 Ac
0.905 0.521 0.919 Ac
0.940 0.060 0.000 Ac
0.270 0.970 0.776 Tb
0.450 0.656 0.144 Tb
0.656 0.450 0.644 Tb
0.970 0.270 0.276 Tb
0.000 0.754 0.209 Ho
0.754 0.000 0.709 Ho
```